Theoretical X-ray diffraction stick pattern of SmCrTc for copper Kα, from a structure optimized by DFT (GGA-PBE).
Kinematic intensities with the Lorentz-polarization factor, no thermal factor.

abc: 6.878 6.878 5.697
angles: 90.00 90.00 90.00
Fractional coordinates of all 12 atoms:
Sm 0.235 0.235 0.000
Sm 0.265 0.735 0.250
Sm 0.735 0.265 0.750
Sm 0.765 0.765 0.500
Cr 0.066 0.066 0.500
Cr 0.434 0.566 0.750
Cr 0.566 0.434 0.250
Cr 0.934 0.934 0.000
Tc 0.178 0.822 0.750
Tc 0.322 0.322 0.500
Tc 0.678 0.678 0.000
Tc 0.822 0.178 0.250

Top 8 peaks for 5° ≤ 2θ ≤ 70°, by intensity:
2theta, d [Å], intensity
36.56, 2.458, 100.0
25.91, 3.439, 64.6
36.97, 2.432, 36.6
33.10, 2.707, 35.7
52.97, 1.729, 24.8
44.59, 2.032, 23.8
18.24, 4.864, 23.0
42.50, 2.127, 16.9

Theoretical X-ray diffraction stick pattern of AuIBr2 for copper Kα, from a structure optimized by DFT (GGA-PBE).
Kinematic intensities with the Lorentz-polarization factor, no thermal factor.

abc: 11.611 4.843 10.583
angles: 90.00 90.00 90.00
Fractional coordinates of all 16 atoms:
Au 0.250 0.000 0.081
Au 0.250 0.500 0.419
Au 0.750 0.000 0.919
Au 0.750 0.500 0.581
I 0.112 0.250 0.250
I 0.388 0.750 0.250
I 0.612 0.250 0.750
I 0.888 0.750 0.750
Br 0.129 0.217 0.917
Br 0.129 0.283 0.583
Br 0.371 0.717 0.583
Br 0.371 0.783 0.917
Br 0.629 0.217 0.083
Br 0.629 0.283 0.417
Br 0.871 0.717 0.417
Br 0.871 0.783 0.083

Top 8 peaks for 5° ≤ 2θ ≤ 70°, by intensity:
2theta, d [Å], intensity
23.93, 3.719, 100.0
11.31, 7.821, 87.6
34.40, 2.607, 81.4
20.16, 4.404, 72.8
46.14, 1.967, 63.1
25.39, 3.508, 62.7
15.26, 5.805, 56.4
32.33, 2.769, 48.2

Theoretical X-ray diffraction stick pattern of Tb4PmCd for copper Kα, from a structure optimized by DFT (GGA-PBE).
Kinematic intensities with the Lorentz-polarization factor, no thermal factor.

abc: 10.843 10.843 6.534
angles: 90.00 90.00 150.21
Fractional coordinates of all 12 atoms:
Tb 0.039 0.961 0.500
Tb 0.182 0.818 0.680
Tb 0.248 0.752 0.208
Tb 0.363 0.637 0.829
Tb 0.637 0.363 0.329
Tb 0.752 0.248 0.708
Tb 0.818 0.182 0.180
Tb 0.961 0.039 0.000
Pm 0.438 0.562 0.322
Pm 0.562 0.438 0.822
Cd 0.104 0.896 0.079
Cd 0.896 0.104 0.579

Top 8 peaks for 5° ≤ 2θ ≤ 70°, by intensity:
2theta, d [Å], intensity
32.08, 2.790, 100.0
29.98, 2.981, 81.1
36.75, 2.446, 41.4
28.62, 3.119, 22.6
28.99, 3.080, 20.9
60.53, 1.530, 16.5
34.31, 2.614, 16.0
43.55, 2.078, 14.6

Theoretical X-ray diffraction stick pattern of La3Sn2I2 for copper Kα, from a structure optimized by DFT (GGA-PBE).
Kinematic intensities with the Lorentz-polarization factor, no thermal factor.

abc: 4.544 7.969 8.386
angles: 79.18 89.97 73.52
Fractional coordinates of all 7 atoms:
La 0.000 0.000 0.000
La 0.244 0.511 0.765
La 0.756 0.489 0.235
Sn 0.377 0.247 0.114
Sn 0.623 0.753 0.886
I 0.129 0.743 0.377
I 0.871 0.257 0.623

Top 8 peaks for 5° ≤ 2θ ≤ 70°, by intensity:
2theta, d [Å], intensity
27.31, 3.266, 100.0
26.69, 3.340, 53.3
37.79, 2.381, 41.2
39.31, 2.292, 38.2
48.45, 1.879, 20.9
38.33, 2.348, 19.4
39.67, 2.272, 19.0
10.76, 8.224, 13.8

Theoretical X-ray diffraction stick pattern of PrTh2I2Br4 for copper Kα, from a structure optimized by DFT (GGA-PBE).
Kinematic intensities with the Lorentz-polarization factor, no thermal factor.

abc: 3.992 3.992 25.038
angles: 90.00 90.00 120.00
Fractional coordinates of all 9 atoms:
Pr 0.000 0.000 0.000
Th 0.000 0.000 0.652
Th 0.667 0.333 0.330
I 0.667 0.333 0.088
I 0.667 0.333 0.912
Br 0.000 0.000 0.251
Br 0.000 0.000 0.410
Br 0.667 0.333 0.573
Br 0.667 0.333 0.732

Top 8 peaks for 5° ≤ 2θ ≤ 70°, by intensity:
2theta, d [Å], intensity
10.60, 8.346, 100.0
31.44, 2.845, 79.0
25.77, 3.457, 42.1
45.44, 1.996, 35.5
38.81, 2.320, 35.0
29.52, 3.026, 31.9
27.93, 3.194, 20.5
36.13, 2.486, 20.3

Theoretical X-ray diffraction stick pattern of AcRhPb2O6 for copper Kα, from a structure optimized by DFT (GGA-PBE).
Kinematic intensities with the Lorentz-polarization factor, no thermal factor.

abc: 5.718 6.383 10.239
angles: 90.00 123.54 90.00
Fractional coordinates of all 20 atoms:
Ac 0.000 0.000 0.000
Ac 0.000 0.500 0.500
Rh 0.500 0.000 0.500
Rh 0.500 0.500 0.000
Pb 0.216 0.041 0.723
Pb 0.216 0.459 0.223
Pb 0.784 0.541 0.777
Pb 0.784 0.959 0.277
O 0.174 0.161 0.474
O 0.174 0.339 0.974
O 0.244 0.748 0.420
O 0.244 0.752 0.920
O 0.390 0.074 0.281
O 0.390 0.426 0.781
O 0.610 0.574 0.219
O 0.610 0.926 0.719
O 0.756 0.248 0.080
O 0.756 0.252 0.580
O 0.826 0.661 0.026
O 0.826 0.839 0.526

Top 8 peaks for 5° ≤ 2θ ≤ 70°, by intensity:
2theta, d [Å], intensity
29.72, 3.006, 100.0
29.55, 3.022, 99.1
42.42, 2.131, 62.9
27.96, 3.191, 54.3
31.28, 2.859, 46.0
54.81, 1.675, 21.6
54.52, 1.683, 20.8
50.47, 1.808, 19.3

Theoretical X-ray diffraction stick pattern of La5Nd12Th2 for copper Kα, from a structure optimized by DFT (GGA-PBE).
Kinematic intensities with the Lorentz-polarization factor, no thermal factor.

abc: 11.974 11.974 8.867
angles: 109.28 109.28 35.01
Fractional coordinates of all 19 atoms:
La 0.000 0.000 0.000
La 0.248 0.248 0.991
La 0.350 0.350 0.405
La 0.650 0.650 0.595
La 0.752 0.752 0.009
Nd 0.053 0.545 0.708
Nd 0.137 0.137 0.546
Nd 0.150 0.636 0.117
Nd 0.364 0.850 0.883
Nd 0.454 0.454 0.797
Nd 0.455 0.947 0.292
Nd 0.545 0.053 0.708
Nd 0.546 0.546 0.203
Nd 0.636 0.150 0.117
Nd 0.850 0.364 0.883
Nd 0.863 0.863 0.454
Nd 0.947 0.455 0.292
Th 0.252 0.748 0.500
Th 0.748 0.252 0.500

Top 8 peaks for 5° ≤ 2θ ≤ 70°, by intensity:
2theta, d [Å], intensity
29.75, 3.003, 100.0
30.42, 2.938, 70.8
35.82, 2.507, 46.7
32.91, 2.721, 38.8
60.28, 1.535, 20.2
49.50, 1.841, 18.0
49.37, 1.846, 16.8
56.83, 1.620, 14.4

Theoretical X-ray diffraction stick pattern of LaNdInSn for copper Kα, from a structure optimized by DFT (GGA-PBE).
Kinematic intensities with the Lorentz-polarization factor, no thermal factor.

abc: 6.458 6.458 6.458
angles: 140.94 134.58 61.42
Fractional coordinates of all 4 atoms:
La 0.000 0.000 0.000
Nd 0.265 0.765 0.500
In 0.540 0.540 0.000
Sn 0.737 0.237 0.500

Top 8 peaks for 5° ≤ 2θ ≤ 70°, by intensity:
2theta, d [Å], intensity
31.80, 2.814, 100.0
32.25, 2.776, 20.2
36.03, 2.493, 18.8
62.14, 1.494, 14.5
49.12, 1.855, 12.4
41.85, 2.159, 12.4
57.22, 1.610, 11.7
66.46, 1.407, 10.4

Repeat the eighth record exactly.
Theoretical X-ray diffraction stick pattern of LaNdInSn for copper Kα, from a structure optimized by DFT (GGA-PBE).
Kinematic intensities with the Lorentz-polarization factor, no thermal factor.

abc: 6.458 6.458 6.458
angles: 140.94 134.58 61.42
Fractional coordinates of all 4 atoms:
La 0.000 0.000 0.000
Nd 0.265 0.765 0.500
In 0.540 0.540 0.000
Sn 0.737 0.237 0.500

Top 8 peaks for 5° ≤ 2θ ≤ 70°, by intensity:
2theta, d [Å], intensity
31.80, 2.814, 100.0
32.25, 2.776, 20.2
36.03, 2.493, 18.8
62.14, 1.494, 14.5
49.12, 1.855, 12.4
41.85, 2.159, 12.4
57.22, 1.610, 11.7
66.46, 1.407, 10.4